1.
Starting from a cell relaxed with GGA+U, the PXRD pattern of NiCl2O4 was calculated for a wavelength of 1.5418 Å.
Lines closer than 0.1° are merged.

Peak list (8 most intense, 15 to 90 degrees two-theta, sorted by position)
Position (°2θ)  d/Å  Rel. int.
15.40  5.753  100
22.26  3.994  87
33.43  2.681  80
36.74  2.446  17
43.16  2.096  19
43.24  2.093  24
51.52  1.774  16
51.64  1.770  16

Atomic structure:
Unit cell a=5.177 b=7.493 c=12.594 alpha=90.00 beta=113.98 gamma=90.00
Atoms (fractional coordinates):
1 Ni 0.236 0.156 0.250
2 Ni 0.236 0.344 0.750
3 Ni 0.764 0.656 0.250
4 Ni 0.764 0.844 0.750
5 Cl 0.048 0.660 0.899
6 Cl 0.048 0.840 0.399
7 Cl 0.248 0.159 0.899
8 Cl 0.248 0.341 0.399
9 Cl 0.752 0.659 0.601
10 Cl 0.752 0.841 0.101
11 Cl 0.952 0.160 0.601
12 Cl 0.952 0.340 0.101
13 O 0.099 0.564 0.250
14 O 0.099 0.936 0.750
15 O 0.222 0.517 0.641
16 O 0.222 0.983 0.141
17 O 0.436 0.740 0.751
18 O 0.436 0.760 0.251
19 O 0.438 0.517 0.859
20 O 0.438 0.983 0.359
21 O 0.562 0.017 0.641
22 O 0.562 0.483 0.141
23 O 0.564 0.240 0.749
24 O 0.564 0.260 0.249
25 O 0.778 0.017 0.859
26 O 0.778 0.483 0.359
27 O 0.901 0.064 0.250
28 O 0.901 0.436 0.750



2.
Starting from a cell relaxed with GGA+U, the PXRD pattern of Sr2NiSe2Cl2O6 was calculated for a wavelength of 1.5418 Å.
Lines closer than 0.1° are merged.

Peak list (8 most intense, 15 to 90 degrees two-theta, sorted by position)
Position (°2θ)  d/Å  Rel. int.
27.43  3.252  26
29.79  2.999  100
31.08  2.877  95
31.93  2.803  19
33.08  2.708  66
43.47  2.082  19
52.38  1.747  19
56.26  1.635  16

Atomic structure:
Unit cell a=5.427 b=6.503 c=13.303 alpha=90.00 beta=110.94 gamma=90.00
Atoms (fractional coordinates):
1 Sr 0.219 0.203 0.234
2 Sr 0.219 0.297 0.734
3 Sr 0.781 0.703 0.266
4 Sr 0.781 0.797 0.766
5 Ni 0.500 0.000 0.000
6 Ni 0.500 0.500 0.500
7 Se 0.078 0.740 0.073
8 Se 0.078 0.760 0.573
9 Se 0.922 0.240 0.427
10 Se 0.922 0.260 0.927
11 Cl 0.452 0.678 0.897
12 Cl 0.452 0.822 0.397
13 Cl 0.548 0.178 0.603
14 Cl 0.548 0.322 0.103
15 O 0.107 0.572 0.176
16 O 0.107 0.928 0.676
17 O 0.114 0.071 0.896
18 O 0.114 0.429 0.396
19 O 0.379 0.629 0.621
20 O 0.379 0.871 0.121
21 O 0.621 0.129 0.879
22 O 0.621 0.371 0.379
23 O 0.886 0.571 0.604
24 O 0.886 0.929 0.104
25 O 0.893 0.072 0.324
26 O 0.893 0.428 0.824



3.
Starting from a cell relaxed with GGA+U, the PXRD pattern of YNi3Se2ClO8 was calculated for a wavelength of 1.5418 Å.
Lines closer than 0.1° are merged.

Peak list (8 most intense, 15 to 90 degrees two-theta, sorted by position)
Position (°2θ)  d/Å  Rel. int.
16.67  5.319  50
26.35  3.382  54
30.62  2.919  76
31.16  2.870  100
31.28  2.859  55
33.72  2.658  80
36.02  2.494  98
54.24  1.691  64

Atomic structure:
Unit cell a=6.393 b=9.590 c=7.167 alpha=90.00 beta=90.00 gamma=90.00
Atoms (fractional coordinates):
1 Y 0.250 0.250 0.238
2 Y 0.750 0.750 0.762
3 Ni 0.000 0.000 0.500
4 Ni 0.000 0.500 0.500
5 Ni 0.250 0.250 0.704
6 Ni 0.500 0.000 0.500
7 Ni 0.500 0.500 0.500
8 Ni 0.750 0.750 0.296
9 Se 0.250 0.560 0.909
10 Se 0.250 0.940 0.909
11 Se 0.750 0.060 0.091
12 Se 0.750 0.440 0.091
13 Cl 0.250 0.750 0.367
14 Cl 0.750 0.250 0.633
15 O 0.038 0.588 0.762
16 O 0.038 0.912 0.762
17 O 0.250 0.113 0.500
18 O 0.250 0.120 0.926
19 O 0.250 0.380 0.926
20 O 0.250 0.387 0.500
21 O 0.462 0.588 0.762
22 O 0.462 0.912 0.762
23 O 0.538 0.088 0.238
24 O 0.538 0.412 0.238
25 O 0.750 0.613 0.500
26 O 0.750 0.620 0.074
27 O 0.750 0.880 0.074
28 O 0.750 0.887 0.500
29 O 0.962 0.088 0.238
30 O 0.962 0.412 0.238



4.
Starting from a cell relaxed with GGA+U, the PXRD pattern of Ni5Te4Cl2O12 was calculated for a wavelength of 1.5418 Å.
Lines closer than 0.1° are merged.

Peak list (8 most intense, 15 to 90 degrees two-theta, sorted by position)
Position (°2θ)  d/Å  Rel. int.
21.84  4.070  34
23.87  3.728  26
26.56  3.356  47
28.32  3.152  100
28.94  3.086  48
32.17  2.783  28
33.77  2.654  43
36.12  2.487  49

Atomic structure:
Unit cell a=10.305 b=10.305 c=16.421 alpha=123.83 beta=123.83 gamma=29.85
Atoms (fractional coordinates):
1 Ni 0.125 0.694 0.527
2 Ni 0.210 0.773 0.379
3 Ni 0.227 0.790 0.121
4 Ni 0.241 0.759 0.750
5 Ni 0.306 0.875 0.973
6 Ni 0.694 0.125 0.027
7 Ni 0.759 0.241 0.250
8 Ni 0.773 0.210 0.879
9 Ni 0.790 0.227 0.621
10 Ni 0.875 0.306 0.473
11 Te 0.142 0.563 0.120
12 Te 0.194 0.555 0.862
13 Te 0.437 0.858 0.380
14 Te 0.445 0.806 0.638
15 Te 0.555 0.194 0.362
16 Te 0.563 0.142 0.620
17 Te 0.806 0.445 0.138
18 Te 0.858 0.437 0.880
19 Cl 0.086 0.443 0.407
20 Cl 0.443 0.086 0.907
21 Cl 0.557 0.914 0.093
22 Cl 0.914 0.557 0.593
23 O 0.049 0.757 0.980
24 O 0.066 0.088 0.856
25 O 0.088 0.066 0.356
26 O 0.125 0.795 0.857
27 O 0.205 0.875 0.643
28 O 0.222 0.547 0.250
29 O 0.243 0.951 0.520
30 O 0.309 0.550 0.431
31 O 0.428 0.443 0.631
32 O 0.443 0.428 0.131
33 O 0.450 0.691 0.069
34 O 0.453 0.778 0.250
35 O 0.547 0.222 0.750
36 O 0.550 0.309 0.931
37 O 0.557 0.572 0.869
38 O 0.572 0.557 0.369
39 O 0.691 0.450 0.569
40 O 0.757 0.049 0.480
41 O 0.778 0.453 0.750
42 O 0.795 0.125 0.357
43 O 0.875 0.205 0.143
44 O 0.912 0.934 0.644
45 O 0.934 0.912 0.144
46 O 0.951 0.243 0.020



5.
Starting from a cell relaxed with GGA+U, the PXRD pattern of Ni7Te6Cl2O18 was calculated for a wavelength of 1.5418 Å.
Lines closer than 0.1° are merged.

Peak list (8 most intense, 15 to 90 degrees two-theta, sorted by position)
Position (°2θ)  d/Å  Rel. int.
22.39  3.971  69
24.97  3.566  40
25.18  3.537  53
27.46  3.248  57
32.04  2.793  67
33.70  2.660  100
47.06  1.931  36
59.00  1.566  32

Atomic structure:
Unit cell a=7.942 b=7.942 c=7.942 alpha=90.59 beta=90.59 gamma=90.59
Atoms (fractional coordinates):
1 Ni 0.000 0.000 0.000
2 Ni 0.041 0.120 0.370
3 Ni 0.120 0.370 0.041
4 Ni 0.370 0.041 0.120
5 Ni 0.630 0.959 0.880
6 Ni 0.880 0.630 0.959
7 Ni 0.959 0.880 0.630
8 Te 0.196 0.707 0.294
9 Te 0.293 0.706 0.804
10 Te 0.294 0.196 0.707
11 Te 0.706 0.804 0.293
12 Te 0.707 0.294 0.196
13 Te 0.804 0.293 0.706
14 Cl 0.296 0.296 0.296
15 Cl 0.704 0.704 0.704
16 O 0.035 0.584 0.161
17 O 0.066 0.789 0.854
18 O 0.077 0.700 0.495
19 O 0.146 0.934 0.211
20 O 0.161 0.035 0.584
21 O 0.211 0.146 0.934
22 O 0.300 0.505 0.923
23 O 0.416 0.839 0.965
24 O 0.495 0.077 0.700
25 O 0.505 0.923 0.300
26 O 0.584 0.161 0.035
27 O 0.700 0.495 0.077
28 O 0.789 0.854 0.066
29 O 0.839 0.965 0.416
30 O 0.854 0.066 0.789
31 O 0.923 0.300 0.505
32 O 0.934 0.211 0.146
33 O 0.965 0.416 0.839